The following is a calculated X-ray diffraction stick pattern of NpAg3O7. It was derived from the GGA-PBE geometry in Alexandria, using a wavelength of 1.5418 Å.
Peak positions follow from Bragg's law for the DFT cell and can differ from measured ones.

Main lines, by angle (2θ from 15° to 90°):
| 2θ (°) | Rel. int. | (hkl) |
| --- | --- | --- |
| 18.39 | 25 | 1 1 -1 |
| 27.26 | 89 | 0 2 1 |
| 29.49 | 100 | 2 0 0 |
| 32.33 | 36 | 2 0 -2 |
| 36.59 | 29 | 0 4 0 |
| 47.27 | 14 | 4 0 -2 |
| 47.66 | 18 | 2 4 0 |
| 49.59 | 33 | 2 4 -2 |
| 53.31 | 19 | 2 2 -3 |
| 57.19 | 15 | 4 2 -3 |

Crystal structure
Lattice parameters (Å, degrees): 7.7232 9.8243 5.5862 90.00 128.29 90.00
Space group Cm (No. 8)
Unique sites:
Np: 0.0000 0.0000 0.0000 [2 per cell]
Ag: 0.4350 0.2249 0.4113 [4 per cell]
Ag: 0.4767 0.0000 0.9375 [2 per cell]
O: 0.0035 0.2362 0.0387 [4 per cell]
O: 0.1507 0.0000 0.8383 [2 per cell]
O: 0.3019 0.0000 0.4173 [2 per cell]
O: 0.3304 0.3049 0.7263 [4 per cell]
O: 0.3297 0.5000 0.1360 [2 per cell]

***

The following is a calculated X-ray diffraction stick pattern of NpAg2Pb2O6. It was derived from the GGA-PBE geometry in Alexandria, using a wavelength of 1.5418 Å.
Peak positions follow from Bragg's law for the DFT cell and can differ from measured ones.

Main lines, by angle (2θ from 15° to 90°):
| 2θ (°) | Rel. int. | (hkl) |
| --- | --- | --- |
| 15.97 | 23 | 1 1 0 |
| 27.78 | 53 | 2 0 0 |
| 28.00 | 20 | 1 3 0 |
| 28.29 | 47 | 0 0 2 |
| 30.27 | 100 | 1 3 -1 |
| 32.60 | 58 | 1 3 1 |
| 36.12 | 26 | 2 0 -2 |
| 43.71 | 20 | 2 0 2 |
| 49.12 | 25 | 3 3 -1 |
| 49.74 | 36 | 1 3 -3 |

Crystal structure
Lattice parameters (Å, degrees): 6.5318 11.0080 6.4145 90.00 100.43 90.00
Space group C2/m (No. 12)
Unique sites:
Np: 0.0000 0.0000 0.0000 [2 per cell]
Ag: 0.0000 0.1452 0.5000 [4 per cell]
Pb: 0.0000 0.3290 0.0000 [4 per cell]
O: 0.1149 0.1521 0.8258 [8 per cell]
O: 0.2290 0.5000 0.8279 [4 per cell]

***

The following is a calculated X-ray diffraction stick pattern of NpAgSbO. It was derived from the GGA-PBE geometry in Alexandria, using a wavelength of 1.5418 Å.
Peak positions follow from Bragg's law for the DFT cell and can differ from measured ones.

Main lines, by angle (2θ from 15° to 90°):
| 2θ (°) | Rel. int. | (hkl) |
| --- | --- | --- |
| 28.67 | 100 | 1 0 2 |
| 31.34 | 24 | 1 1 0 |
| 32.68 | 48 | 1 1 1 |
| 35.37 | 51 | 1 0 3 |
| 36.44 | 30 | 1 1 2 |
| 44.92 | 41 | 2 0 0 |
| 49.03 | 23 | 1 1 4 |
| 54.16 | 35 | 2 1 2 |
| 58.43 | 24 | 2 1 3 |
| 66.54 | 18 | 2 0 5 |

Crystal structure
Lattice parameters (Å, degrees): 4.0359 4.0359 9.7913 90.00 90.00 90.00
Space group P4/nmm (No. 129, origin choice 2)
Unique sites:
Np: 0.2500 0.2500 0.1185 [2 per cell]
Ag: 0.2500 0.7500 0.5000 [2 per cell]
Sb: 0.2500 0.2500 0.7102 [2 per cell]
O: 0.2500 0.7500 0.0000 [2 per cell]

***

The following is a calculated X-ray diffraction stick pattern of NpAgSeO5. It was derived from the GGA-PBE geometry in Alexandria, using a wavelength of 1.5418 Å.
Peak positions follow from Bragg's law for the DFT cell and can differ from measured ones.

Main lines, by angle (2θ from 15° to 90°):
| 2θ (°) | Rel. int. | (hkl) |
| --- | --- | --- |
| 19.50 | 16 | 0 2 1 |
| 27.48 | 100 | 1 2 -1 |
| 28.92 | 80 | 0 2 3 |
| 29.80 | 33 | 1 0 2 |
| 31.46 | 31 | 1 0 -4 |
| 36.47 | 15 | 0 4 0 |
| 41.88 | 24 | 2 0 -2 |
| 47.78 | 18 | 1 4 2 |
| 48.91 | 13 | 1 4 -4 |
| 50.61 | 17 | 2 2 1 |

Crystal structure
Lattice parameters (Å, degrees): 4.3205 9.8564 12.4398 90.00 107.25 90.00
Space group P2_1/c (No. 14)
Unique sites:
Np: 0.0108 0.1555 0.2617 [4 per cell]
Ag: 0.3771 0.1186 0.5916 [4 per cell]
Se: 0.3206 0.5849 0.6187 [4 per cell]
O: 0.0499 0.0882 0.8554 [4 per cell]
O: 0.1122 0.7378 0.3806 [4 per cell]
O: 0.1370 0.0739 0.4044 [4 per cell]
O: 0.4616 0.7325 0.6933 [4 per cell]
O: 0.4883 0.0355 0.2230 [4 per cell]

***

> Which formula does entry 4 have?

NpAgSeO5

***

> What is the formula in the first record?

NpAg3O7